Diffraction record for RbPm2Cu3Te4S. The X-ray powder pattern is simulated, not measured: it uses a structure optimized by DFT (PBE) and Cu Kα, 1.54184 Å.
Peak positions follow from Bragg's law for the DFT cell and can differ from measured ones.

Principal peaks in the range 2θ = 10–90°, low angle first:
2θ (°), d_spacing, intensity, h k l
26.77, 3.331, 79, 1 3 0
27.27, 3.270, 100, 0 2 5
28.58, 3.123, 42, 1 3 2
29.83, 2.995, 31, 0 0 6
33.49, 2.676, 69, 1 3 4
36.88, 2.437, 41, 0 2 7
36.92, 2.435, 25, 1 1 6
37.76, 2.383, 26, 0 6 3
41.61, 2.170, 50, 2 0 0
44.56, 2.033, 34, 1 3 7

a = 4.341 Å, b = 15.581 Å, c = 17.971 Å
α = 90.00°, β = 90.00°, γ = 90.00°
Space group Cmcm (No. 63)
Unique sites:
Rb1 0.000 0.070 0.250
Pm1 0.000 0.194 0.600
Cu1 0.000 0.331 0.250
Cu2 0.000 0.415 0.519
Te1 0.000 0.159 0.072
Te2 0.000 0.448 0.124
S1 0.000 0.234 0.750



Diffraction record for RbPm2Cu3TeSe4. The X-ray powder pattern is simulated, not measured: it uses a structure optimized by DFT (PBE) and Cu Kα, 1.54184 Å.
Peak positions follow from Bragg's law for the DFT cell and can differ from measured ones.

Principal peaks in the range 2θ = 10–90°, low angle first:
2θ (°), d_spacing, intensity, h k l
12.08, 7.329, 47, 0 2 0
27.83, 3.205, 64, 1 3 0
28.28, 3.155, 100, 1 3 1
29.60, 3.018, 95, 1 3 2
29.94, 2.984, 96, 0 0 6
34.41, 2.606, 79, 1 3 4
37.29, 2.411, 67, 1 5 0
42.58, 2.123, 79, 2 0 0
45.35, 2.000, 89, 1 3 7
52.92, 1.730, 39, 2 0 6

a = 4.247 Å, b = 14.659 Å, c = 17.905 Å
α = 90.00°, β = 90.00°, γ = 90.00°
Space group Cmcm (No. 63)
Unique sites:
Rb1 0.000 0.049 0.250
Pm1 0.000 0.188 0.587
Cu1 0.000 0.344 0.250
Cu2 0.000 0.414 0.528
Te1 0.000 0.252 0.750
Se1 0.000 0.162 0.072
Se2 0.000 0.444 0.113